1.
The following is a computed powder XRD pattern of WBr2O2. It was derived from a crystal structure in the Materials Project, relaxed with PBE+U, using copper Kα.

Peak list (8 most intense, 2θ = 10–80°, low angle first)
23.1°, d = 3.851 Å, I 100.0; 25.2°, d = 3.539 Å, I 30.6; 29.8°, d = 2.995 Å, I 19.7; 32.9°, d = 2.723 Å, I 32.8; 38.1°, d = 2.364 Å, I 31.9; 46.8°, d = 1.940 Å, I 23.5; 47.2°, d = 1.925 Å, I 17.3; 53.2°, d = 1.722 Å, I 20.5

```
data_WBr2O2
_space_group_name_H-M_alt 'P m c 21'
_space_group_IT_number 26
_cell_length_a 8.984
_cell_length_b 3.851
_cell_length_c 7.701
_cell_angle_alpha 90.00
_cell_angle_beta 90.00
_cell_angle_gamma 90.00
loop_
_space_group_symop_operation_xyz
'x,y,z'
'-x,-y,z+1/2'
'-x,y,z'
'x,-y,z+1/2'
loop_
_atom_site_label
_atom_site_fract_x
_atom_site_fract_y
_atom_site_fract_z
W1 0.000 0.006 0.000
Br1 0.278 0.000 0.498
O1 0.000 0.000 0.249
O2 0.000 0.498 0.499
```

2.
The following is a computed powder XRD pattern of WBr2O2. It was derived from a crystal structure in the Materials Project, relaxed with PBE+U, using copper Kα.

Peak list (8 most intense, 2θ = 10–80°, low angle first)
10.2°, d = 8.681 Å, I 100.0; 22.8°, d = 3.901 Å, I 57.1; 23.1°, d = 3.855 Å, I 56.7; 30.9°, d = 2.894 Å, I 23.0; 32.7°, d = 2.742 Å, I 35.8; 38.7°, d = 2.324 Å, I 18.4; 38.9°, d = 2.315 Å, I 20.3; 45.6°, d = 1.990 Å, I 17.9

```
data_WBr2O2
_space_group_name_H-M_alt 'P m c 21'
_space_group_IT_number 26
_cell_length_a 8.681
_cell_length_b 3.901
_cell_length_c 7.710
_cell_angle_alpha 90.00
_cell_angle_beta 90.00
_cell_angle_gamma 90.00
loop_
_space_group_symop_operation_xyz
'x,y,z'
'-x,-y,z+1/2'
'-x,y,z'
'x,-y,z+1/2'
loop_
_atom_site_label
_atom_site_fract_x
_atom_site_fract_y
_atom_site_fract_z
W1 0.000 0.047 0.000
Br1 0.284 0.008 0.525
O1 0.000 0.004 0.767
O2 0.000 0.494 0.516
```

3.
The following is a computed powder XRD pattern of WBr2O2. It was derived from a crystal structure in the Materials Project, relaxed with PBE+U, using copper Kα.

Peak list (8 most intense, 2θ = 10–80°, low angle first)
23.1°, d = 3.851 Å, I 100.0; 25.1°, d = 3.541 Å, I 31.0; 29.8°, d = 3.002 Å, I 19.5; 32.9°, d = 2.723 Å, I 32.8; 38.0°, d = 2.368 Å, I 31.6; 46.7°, d = 1.944 Å, I 23.9; 47.2°, d = 1.926 Å, I 17.3; 53.2°, d = 1.722 Å, I 20.5

```
data_WBr2O2
_space_group_name_H-M_alt 'P m m a'
_space_group_IT_number 51
_cell_length_a 7.701
_cell_length_b 9.007
_cell_length_c 3.852
_cell_angle_alpha 90.00
_cell_angle_beta 90.00
_cell_angle_gamma 90.00
loop_
_space_group_symop_operation_xyz
'x,y,z'
'-x,-y,-z'
'-x+1/2,-y,z'
'x+1/2,y,-z'
'x+1/2,-y,-z'
'-x+1/2,y,z'
'-x,y,-z'
'x,-y,z'
loop_
_atom_site_label
_atom_site_fract_x
_atom_site_fract_y
_atom_site_fract_z
W1 0.250 0.000 0.007
Br1 0.250 0.278 0.997
O1 0.000 0.000 0.000
O2 0.250 0.000 0.501
```

4.
The following is a computed powder XRD pattern of WBr2O2. It was derived from a crystal structure in the Materials Project, relaxed with PBE+U, using copper Kα.

Peak list (8 most intense, 2θ = 10–80°, low angle first)
10.0°, d = 8.824 Å, I 90.7; 23.0°, d = 3.862 Å, I 100.0; 25.2°, d = 3.538 Å, I 28.6; 30.4°, d = 2.941 Å, I 20.2; 32.8°, d = 2.731 Å, I 32.4; 38.5°, d = 2.340 Å, I 33.3; 45.3°, d = 2.001 Å, I 16.3; 47.5°, d = 1.915 Å, I 20.7

```
data_WBr2O2
_space_group_name_H-M_alt 'P m c 21'
_space_group_IT_number 26
_cell_length_a 8.824
_cell_length_b 3.870
_cell_length_c 7.708
_cell_angle_alpha 90.00
_cell_angle_beta 90.00
_cell_angle_gamma 90.00
loop_
_space_group_symop_operation_xyz
'x,y,z'
'-x,-y,z+1/2'
'-x,y,z'
'x,-y,z+1/2'
loop_
_atom_site_label
_atom_site_fract_x
_atom_site_fract_y
_atom_site_fract_z
W1 0.000 0.025 0.000
Br1 0.283 0.004 0.486
O1 0.000 0.002 0.244
O2 0.000 0.493 0.496
```

5.
The following is a computed powder XRD pattern of Na6Ca3MnC6O18F2. It was derived from a crystal structure in the Materials Project, relaxed with PBE+U, using copper Kα.

Peak list (8 most intense, 2θ = 10–80°, low angle first)
30.1°, d = 2.966 Å, I 69.7; 30.5°, d = 2.935 Å, I 85.8; 30.8°, d = 2.904 Å, I 100.0; 31.8°, d = 2.813 Å, I 35.9; 32.8°, d = 2.729 Å, I 51.3; 44.0°, d = 2.057 Å, I 27.5; 48.4°, d = 1.882 Å, I 39.0; 51.9°, d = 1.763 Å, I 38.1

```
data_Na6Ca3MnC6O18F2
_space_group_name_H-M_alt 'P 1'
_space_group_IT_number 1
_cell_length_a 7.097
_cell_length_b 8.065
_cell_length_c 8.949
_cell_angle_alpha 63.33
_cell_angle_beta 85.04
_cell_angle_gamma 79.01
loop_
_space_group_symop_operation_xyz
'x,y,z'
loop_
_atom_site_label
_atom_site_fract_x
_atom_site_fract_y
_atom_site_fract_z
Na1 0.000 0.000 0.000
Na2 0.001 0.776 0.447
Na3 0.338 0.697 0.882
Na4 0.501 0.773 0.458
Na5 0.503 0.992 0.013
Na6 0.837 0.352 0.574
Ca1 0.165 0.243 0.249
Ca2 0.350 0.314 0.610
Ca3 0.667 0.265 0.205
Mn1 0.855 0.694 0.851
C1 0.119 0.394 0.846
C2 0.124 0.998 0.619
C3 0.315 0.620 0.235
C4 0.628 0.005 0.617
C5 0.633 0.396 0.839
C6 0.816 0.624 0.216
O1 0.030 0.490 0.704
O2 0.040 0.926 0.764
O3 0.106 0.468 0.952
O4 0.123 0.181 0.542
O5 0.211 0.896 0.549
O6 0.221 0.229 0.883
O7 0.288 0.777 0.104
O8 0.294 0.613 0.384
O9 0.363 0.460 0.223
O10 0.524 0.976 0.751
O11 0.549 0.469 0.695
O12 0.625 0.177 0.502
O13 0.640 0.503 0.915
O14 0.709 0.221 0.912
O15 0.733 0.864 0.598
O16 0.787 0.662 0.342
O17 0.798 0.759 0.063
O18 0.865 0.449 0.240
F1 0.456 0.076 0.231
F2 0.955 0.077 0.228
```